This entry pairs a crystal structure of ErAs with its theoretical powder diffraction line list. Radiation: Cu Kα (λ = 1.5418 Å). Structure: DFT lattice parameters and positions (PBE).
Kinematic intensities with the Lorentz-polarization factor, no thermal factor.

Structure:
abc: 3.5474 3.5474 3.5474
angles: 90.00 90.00 90.00
Positions (direct):
Er 0.0000 0.0000 0.0000
As 0.5000 0.5000 0.5000

The 6 most intense peaks (10 to 80 degrees two-theta), in order of rising 2θ:
- 2θ 25.10, d = 3.547 Å, I 16
- 2θ 35.80, d = 2.508 Å, I 100
- 2θ 51.52, d = 1.774 Å, I 18
- 2θ 58.15, d = 1.586 Å, I 7
- 2θ 64.32, d = 1.448 Å, I 36
- 2θ 75.86, d = 1.254 Å, I 11